Theoretical powder X-ray diffraction pattern of LaTm3Th2 for λ = 1.5418 Å (Cu Kα), from a cell relaxed with PBE.
Intensities are scaled so that the largest is 100.

Structural model:
a b c (Å): 23.420 3.446 10.185
angles (deg): 90.00 108.25 90.00
Space group C2/m (No. 12)
Symmetry-distinct sites (fractional):
1 La 0.186 0.000 0.037 [4 per cell]
2 Tm 0.059 0.000 0.445 [4 per cell]
3 Tm 0.066 0.500 0.766 [4 per cell]
4 Tm 0.192 0.000 0.708 [4 per cell]
5 Th 0.069 0.500 0.140 [4 per cell]
6 Th 0.191 0.000 0.377 [4 per cell]

Principal peaks in the range 2θ from 10° to 80°, sorted by position:
| index | 2theta | I (rel.) |
| --- | --- | --- |
| 3 1 0 | 28.6 | 56 |
| 6 0 -3 | 30.5 | 99 |
| 2 0 3 | 31.2 | 93 |
| 8 0 0 | 32.2 | 87 |
| 5 1 0 | 32.9 | 100 |
| 3 1 -3 | 37.3 | 37 |
| 1 1 -3 | 37.5 | 55 |
| 8 2 0 | 63.5 | 36 |